For LiCo2OF3, a cell relaxed with PBE+U gives the computed powder diffractogram in this record (Cu Ka).

Top 8 peaks for 5° ≤ 2θ ≤ 70°, in order of falling intensity:
34.45 deg, I 100; 29.35 deg, I 66; 34.65 deg, I 55; 34.78 deg, I 55; 20.59 deg, I 53; 61.32 deg, I 39; 29.07 deg, I 36; 29.54 deg, I 33

Cell and atoms:
abc: 6.0473 6.0473 6.0886
angles: 119.18 119.18 60.44
Element x y z (fractional)
Li (0.0000, 0.0000, 0.0000)
Li (0.0000, 0.0000, 0.5000)
Co (0.0000, 0.5000, 0.0000)
Co (0.3621, 0.3621, 0.5684)
Co (0.5000, 0.0000, 0.0000)
Co (0.6379, 0.6379, 0.4316)
O (0.2402, 0.2402, 0.1930)
O (0.7598, 0.7598, 0.8070)
F (0.2373, 0.2373, 0.7278)
F (0.2366, 0.7623, 0.7421)
F (0.2377, 0.7634, 0.2579)
F (0.7623, 0.2366, 0.7421)
F (0.7634, 0.2377, 0.2579)
F (0.7627, 0.7627, 0.2722)